SrZnFeP: simulated powder XRD pattern (λ = 1.5418 Å (Cu Kα)), based on DFT lattice parameters and positions (GGA-PBE).
Kinematic intensities with the Lorentz-polarization factor, no thermal factor.

Crystal structure
```
data_SrZnFeP
_cell_length_a 3.7730
_cell_length_b 3.7730
_cell_length_c 11.4669
_cell_angle_alpha 90.00
_cell_angle_beta 90.00
_cell_angle_gamma 90.00
_symmetry_space_group_name_H-M 'P 4/n m m'
_symmetry_Int_Tables_number 129
loop_
_symmetry_equiv_pos_as_xyz
'x,y,z'
'-x,-y,-z'
'-y+1/2,x,z'
'y+1/2,-x,-z'
'-x+1/2,-y+1/2,z'
'x+1/2,y+1/2,-z'
'y,-x+1/2,z'
'-y,x+1/2,-z'
'x+1/2,-y,-z'
'-x+1/2,y,z'
'-y,-x,-z'
'y,x,z'
'-x,y+1/2,-z'
'x,-y+1/2,z'
'y+1/2,x+1/2,-z'
'-y+1/2,-x+1/2,z'
loop_
_atom_site_label
_atom_site_fract_x
_atom_site_fract_y
_atom_site_fract_z
_atom_site_occupancy
Sr1 0.2500 0.2500 0.2400 1
Zn1 0.2500 0.7500 0.5000 1
Fe1 0.2500 0.7500 0.0000 1
P1 0.2500 0.2500 0.8997 1
```

The 10 most intense peaks (2θ from 10° to 90°), in order of falling intensity:
index  Position (°2θ)  d/Å  I_rel
1 1 2  37.2  2.419  100
1 0 3  33.4  2.685  41
0 0 4  31.2  2.867  34
2 0 0  48.2  1.887  33
1 0 1  24.8  3.584  32
1 1 6  59.5  1.554  31
2 0 4  58.6  1.576  21
3 1 2  82.6  1.168  18
0 0 2  15.5  5.733  15
2 1 3  59.9  1.544  15



Li2Pm2HoPb2: simulated powder XRD pattern (λ = 1.5418 Å (Cu Kα)), based on DFT lattice parameters and positions (GGA-PBE).
Kinematic intensities with the Lorentz-polarization factor, no thermal factor.

Crystal structure
```
data_Li2Pm2HoPb2
_cell_length_a 4.8429
_cell_length_b 4.8429
_cell_length_c 27.5245
_cell_angle_alpha 90.00
_cell_angle_beta 90.00
_cell_angle_gamma 120.00
_symmetry_space_group_name_H-M 'R -3 m'
_symmetry_Int_Tables_number 166
_symmetry_space_group_name_Hall '-R 3 2"'
loop_
_atom_site_label
_atom_site_fract_x
_atom_site_fract_y
_atom_site_fract_z
_atom_site_occupancy
Li1 0.0000 0.0000 0.1039 1
Pm1 0.0000 0.0000 0.3722 1
Ho1 0.0000 0.0000 0.5000 1
Pb1 0.0000 0.0000 0.2327 1
```

The 10 most intense peaks (2θ from 10° to 90°), in order of falling intensity:
index  Position (°2θ)  d/Å  I_rel
1 1 0  37.1  2.421  100
1 0 7  31.2  2.869  95
0 1 8  33.7  2.660  88
1 0 1  21.4  4.146  52
1 1 15  63.6  1.462  38
0 1 2  22.2  4.012  28
2 0 8  51.0  1.791  28
1 2 8  64.7  1.440  27
0 2 7  49.2  1.850  27
2 1 7  63.2  1.470  26